No. 1
For ReRu3, a crystal structure in the Materials Project, relaxed with PBE gives the simulated X-ray powder pattern in this record (Cu Ka).
Kinematic intensities with the Lorentz-polarization factor, no thermal factor.

Atomic structure:
```
data_ReRu3
_chemical_formula_sum 'Re2 Ru6'
_cell_length_a 5.4882
_cell_length_b 5.4882
_cell_length_c 4.3414
_cell_angle_alpha 90.00
_cell_angle_beta 90.00
_cell_angle_gamma 120.00
_space_group_name_H-M_alt 'P 63/m m c'
_space_group_IT_number 194
_space_group_name_Hall '-P 6c 2c'
loop_
_atom_site_label
_atom_site_type_symbol
_atom_site_fract_x
_atom_site_fract_y
_atom_site_fract_z
_atom_site_occupancy
Re1 Re 0.3333 0.6667 0.2500 1
Ru1 Ru 0.1676 0.3351 0.7500 1
```

Main lines, by angle (10 to 80 degrees two-theta):
2θ 18.67, I 3.9; 2θ 27.83, I 8.2; 2θ 37.86, I 24.6; 2θ 41.61, I 25.1; 2θ 43.41, I 100.0; 2θ 57.50, I 14.4; 2θ 68.37, I 17.0; 2θ 77.18, I 18.1

No. 2
For AlAgTe2, a crystal structure in the Materials Project, relaxed with PBE gives the simulated X-ray powder pattern in this record (Cu Ka).
Kinematic intensities with the Lorentz-polarization factor, no thermal factor.

Atomic structure:
```
data_AlAgTe2
_chemical_formula_sum 'Al4 Ag4 Te8'
_cell_length_a 6.4185
_cell_length_b 6.4185
_cell_length_c 12.2412
_cell_angle_alpha 90.00
_cell_angle_beta 90.00
_cell_angle_gamma 90.00
_space_group_name_H-M_alt 'I -4 2 d'
_space_group_IT_number 122
_space_group_name_Hall 'I -4 2bw'
loop_
_atom_site_label
_atom_site_type_symbol
_atom_site_fract_x
_atom_site_fract_y
_atom_site_fract_z
_atom_site_occupancy
Al1 Al 0.0000 0.0000 0.0000 1
Ag1 Ag 0.0000 0.0000 0.5000 1
Te1 Te 0.2291 0.7500 0.1250 1
```

Main lines, by angle (10 to 80 degrees two-theta):
2θ 24.42, I 100.0; 2θ 32.03, I 8.6; 2θ 39.72, I 24.6; 2θ 40.74, I 46.7; 2θ 47.18, I 31.4; 2θ 48.95, I 15.9; 2θ 64.79, I 13.9; 2θ 72.78, I 14.8

No. 3
For Th2Si3Rh, a crystal structure in the Materials Project, relaxed with PBE gives the simulated X-ray powder pattern in this record (Cu Ka).
Kinematic intensities with the Lorentz-polarization factor, no thermal factor.

Atomic structure:
```
data_Th2Si3Rh
_chemical_formula_sum 'Th4 Si6 Rh2'
_cell_length_a 4.0724
_cell_length_b 4.2449
_cell_length_c 14.2799
_cell_angle_alpha 90.00
_cell_angle_beta 90.00
_cell_angle_gamma 90.00
_space_group_name_H-M_alt 'I m m 2'
_space_group_IT_number 44
loop_
_space_group_symop_operation_xyz
'x,y,z'
'-x,-y,z'
'-x,y,z'
'x,-y,z'
'x+1/2,y+1/2,z+1/2'
'-x+1/2,-y+1/2,z+1/2'
'-x+1/2,y+1/2,z+1/2'
'x+1/2,-y+1/2,z+1/2'
loop_
_atom_site_label
_atom_site_type_symbol
_atom_site_fract_x
_atom_site_fract_y
_atom_site_fract_z
_atom_site_occupancy
Th1 Th 0.0000 0.0000 0.0000 1
Th2 Th 0.0000 0.5000 0.2528 1
Si1 Si 0.0000 0.0000 0.4212 1
Si2 Si 0.0000 0.5000 0.6685 1
Si3 Si 0.0000 0.5000 0.8347 1
Rh1 Rh 0.0000 0.0000 0.5872 1
```

Main lines, by angle (10 to 80 degrees two-theta):
2θ 21.84, I 26.0; 2θ 24.94, I 20.6; 2θ 28.17, I 17.1; 2θ 28.85, I 34.9; 2θ 32.96, I 100.0; 2θ 37.97, I 25.4; 2θ 38.50, I 18.2; 2θ 42.60, I 17.0

No. 4
For Tb2MgSe4, a crystal structure in the Materials Project, relaxed with PBE gives the simulated X-ray powder pattern in this record (Cu Ka).
Kinematic intensities with the Lorentz-polarization factor, no thermal factor.

Atomic structure:
Lattice parameters (Å, degrees): 11.7416 11.7416 11.7416 90.00 90.00 90.00
Space group Fd-3m (No. 227, origin choice 2)
One atom of each set of equivalent atoms:
Tb: 0.0000 0.0000 0.0000 (multiplicity 16)
Mg: 0.1250 0.1250 0.6250 (multiplicity 8)
Se: 0.0042 0.0042 0.2458 (multiplicity 32)

Main lines, by angle (10 to 80 degrees two-theta):
2θ 13.06, I 60.4; 2θ 25.15, I 51.9; 2θ 30.45, I 100.0; 2θ 39.90, I 25.3; 2θ 43.61, I 86.9; 2θ 45.71, I 16.4; 2θ 54.12, I 25.9; 2θ 71.92, I 32.8